# 1
Diffraction record for CoH24C4S4N8Cl2O8. The powder XRD pattern is calculated, not measured: it uses a cell relaxed with PBE+U and Cu Kα (weighted mean of Kα1 and Kα2).

The 10 most intense peaks (2θ = 10–80°), by angle:
d [Å], I (rel.), hkl
8.121, 64, 0 0 1
7.440, 48, 0 1 0
6.554, 28, 1 1 0
4.429, 69, 1 1 -1
3.900, 97, -1 1 1
3.873, 100, 2 1 1
3.751, 33, 1 0 2
3.720, 31, 0 2 0
3.474, 42, 1 2 2
2.861, 44, 1 1 3

Structural model:
Unit cell a=7.9137 b=8.5177 c=8.6361 alpha=71.75 beta=75.07 gamma=63.84
Atoms (fractional coordinates):
Co 0.0000 0.0000 0.0000
H 0.1167 0.2562 0.4568
H 0.1489 0.8994 0.3003
H 0.1660 0.4531 0.6965
H 0.1727 0.6141 0.0371
H 0.1861 0.1801 0.0282
H 0.1938 0.8706 0.7368
H 0.2254 0.3257 0.2472
H 0.2623 0.6218 0.5787
H 0.3456 0.9734 0.0343
H 0.3508 0.7974 0.8634
H 0.3564 0.2451 0.4164
H 0.4081 0.3858 0.5970
H 0.5919 0.6142 0.4030
H 0.6436 0.7549 0.5836
H 0.6492 0.2026 0.1366
H 0.6544 0.0266 0.9657
H 0.7377 0.3782 0.4213
H 0.7746 0.6743 0.7528
H 0.8062 0.1294 0.2632
H 0.8139 0.8199 0.9718
H 0.8273 0.3859 0.9629
H 0.8340 0.5469 0.3035
H 0.8511 0.1006 0.6997
H 0.8833 0.7438 0.5432
C 0.2475 0.2343 0.3686
C 0.2917 0.4865 0.6583
C 0.7083 0.5135 0.3417
C 0.7525 0.7657 0.6314
S 0.3392 0.0141 0.3423
S 0.3708 0.4778 0.8350
S 0.6292 0.5222 0.1650
S 0.6608 0.9859 0.6577
N 0.1765 0.0152 0.2514
N 0.1932 0.6483 0.9091
N 0.2071 0.0476 0.0770
N 0.2145 0.8154 0.8580
N 0.7855 0.1846 0.1420
N 0.7929 0.9524 0.9230
N 0.8068 0.3517 0.0909
N 0.8235 0.9848 0.7486
Cl 0.0151 0.7508 0.2436
Cl 0.9849 0.2492 0.7564
O 0.3331 0.8883 0.5011
O 0.3717 0.3168 0.9602
O 0.4569 0.4885 0.2161
O 0.4810 0.0188 0.7657
O 0.5190 0.9812 0.2343
O 0.5431 0.5115 0.7839
O 0.6283 0.6832 0.0398
O 0.6669 0.1117 0.4989


# 2
Diffraction record for CoSiC4Cl3O4. The powder XRD pattern is calculated, not measured: it uses a cell relaxed with PBE+U and Cu Kα (weighted mean of Kα1 and Kα2).

The 10 most intense peaks (2θ = 10–80°), by angle:
d [Å], I (rel.), hkl
6.471, 38, 1 1 0
5.960, 56, 1 1 -1
5.293, 67, 1 1 1
4.101, 24, 2 0 0
3.063, 19, 2 0 2
3.048, 21, 1 3 1
3.001, 44, 2 2 1
2.988, 100, 1 2 -3
2.643, 26, 3 0 -2
1.817, 20, 1 4 4

Structural model:
Unit cell a=8.3267 b=10.5322 c=11.3277 alpha=90.00 beta=99.90 gamma=90.00
Atoms (fractional coordinates):
Co 0.2215 0.0309 0.2808
Co 0.2215 0.4691 0.7808
Co 0.7785 0.5309 0.2192
Co 0.7785 0.9691 0.7192
Si 0.3025 0.1580 0.1411
Si 0.3025 0.3420 0.6411
Si 0.6975 0.6580 0.3589
Si 0.6975 0.8420 0.8589
C 0.0362 0.1147 0.2467
C 0.0362 0.3853 0.7467
C 0.1587 0.5617 0.8960
C 0.1587 0.9383 0.3960
C 0.2562 0.5937 0.6835
C 0.2562 0.9063 0.1835
C 0.3957 0.0927 0.3738
C 0.3957 0.4073 0.8738
C 0.6043 0.5927 0.1262
C 0.6043 0.9073 0.6262
C 0.7438 0.0937 0.8165
C 0.7438 0.4063 0.3165
C 0.8413 0.0617 0.6040
C 0.8413 0.4383 0.1040
C 0.9638 0.6147 0.2533
C 0.9638 0.8853 0.7533
Cl 0.1607 0.1363 0.9741
Cl 0.1607 0.3637 0.4741
Cl 0.2922 0.1512 0.6821
Cl 0.2922 0.3488 0.1821
Cl 0.4615 0.6232 0.3799
Cl 0.4615 0.8768 0.8799
Cl 0.5385 0.1232 0.1201
Cl 0.5385 0.3768 0.6201
Cl 0.7078 0.6512 0.8179
Cl 0.7078 0.8488 0.3179
Cl 0.8393 0.6363 0.5259
Cl 0.8393 0.8637 0.0259
O 0.0865 0.6686 0.2740
O 0.0865 0.8314 0.7740
O 0.1162 0.6177 0.9723
O 0.1162 0.8823 0.4723
O 0.2780 0.6748 0.6196
O 0.2780 0.8252 0.1196
O 0.4900 0.6294 0.0629
O 0.4900 0.8706 0.5629
O 0.5100 0.1294 0.4371
O 0.5100 0.3706 0.9371
O 0.7220 0.1748 0.8804
O 0.7220 0.3252 0.3804
O 0.8838 0.1177 0.5277
O 0.8838 0.3823 0.0277
O 0.9135 0.1686 0.2260
O 0.9135 0.3314 0.7260